[1]
Computed XRD peak list
Compound: Li2FeP2O7
Radiation: copper Kα
Structure: DFT lattice parameters and positions (GGA+U)

The 6 most intense peaks (2θ from 5° to 70°), in order of rising 2θ:
d (Å), I_rel, hkl
6.467, 57.7, 0 1 1
4.360, 100.0, 1 1 0
3.822, 86.0, 0 0 2
3.784, 71.1, 1 -1 0
3.208, 52.0, 1 2 1
2.383, 47.7, 0 3 1

Cell and atoms:
```
24
Lattice="5.190 0.000 0.000 1.202 7.217 0.000 0.657 3.431 7.644" Properties=species:S:1:pos:R:3 pbc="T T T"
Li 1.441 2.502 0.463
Li 1.847 4.365 3.775
Li 5.202 6.284 3.869
Li 5.607 8.146 7.181
Fe 2.707 6.345 1.681
Fe 4.341 4.303 5.963
P 2.939 9.618 6.109
P 2.604 6.904 5.168
P 4.444 3.744 2.476
P 4.110 1.031 1.535
O 0.410 0.791 1.212
O 1.671 6.764 6.356
O 1.951 6.444 3.847
O 2.958 8.479 4.949
O 2.412 3.605 5.441
O 3.738 9.099 7.310
O 3.066 4.404 2.276
O 3.982 6.245 5.368
O 3.311 1.549 0.334
O 4.636 7.044 2.203
O 4.091 2.170 2.695
O 5.097 4.204 3.797
O 5.377 3.884 1.288
O 6.639 9.858 6.432
```

[2]
Computed XRD peak list
Compound: LiFe2P2O8
Radiation: copper Kα
Structure: DFT lattice parameters and positions (GGA+U)

The 6 most intense peaks (2θ from 5° to 70°), in order of rising 2θ:
d (Å), I_rel, hkl
4.568, 78.8, 0 1 1
4.430, 77.5, 1 1 0
4.085, 100.0, 1 0 -2
3.676, 98.5, 1 1 1
3.274, 53.9, 1 0 2
2.777, 56.3, 2 1 -2

Cell and atoms:
```
26
Lattice="7.771 0.000 0.000 0.000 5.487 0.000 -2.202 0.000 8.243" Properties=species:S:1:pos:R:3 pbc="T T T"
Li 0.000 0.951 0.000
Li -1.101 4.536 4.122
Fe 0.254 1.852 3.209
Fe -0.847 3.636 7.331
Fe 3.122 0.879 5.342
Fe 4.223 4.608 1.220
P 0.980 0.934 7.772
P 2.081 4.554 3.651
P 5.559 1.811 5.145
P 6.660 3.676 1.024
O -1.071 0.976 4.511
O 0.030 4.511 0.389
O -0.327 1.730 7.922
O 0.774 3.757 3.801
O 1.790 0.618 3.613
O 0.689 4.870 7.734
O 1.721 1.404 6.504
O 2.822 4.083 2.383
O 4.105 1.009 0.787
O 3.004 4.478 4.909
O 4.334 1.892 4.183
O 5.435 3.595 0.061
O 4.912 1.067 6.375
O 6.013 4.421 2.254
O 7.212 2.278 1.409
O 6.111 3.210 5.530
```

[3]
Computed XRD peak list
Compound: LiFePO4
Radiation: copper Kα
Structure: DFT lattice parameters and positions (GGA+U)

The 6 most intense peaks (2θ from 5° to 70°), in order of rising 2θ:
d (Å), I_rel, hkl
4.795, 49.7, 0 0 2
3.757, 56.5, 1 1 0
3.254, 45.0, 2 0 0
2.958, 83.6, 2 -1 2
2.869, 47.6, 1 0 3
2.693, 100.0, 2 0 2

Cell and atoms:
```
42
Lattice="7.515 0.000 0.000 -3.757 6.508 0.000 0.000 0.000 9.591" Properties=species:S:1:pos:R:3 pbc="T T T"
Li -0.576 1.655 0.000
Li -2.036 6.180 0.000
Li 1.721 0.328 4.795
Li 2.613 5.181 0.000
Li 3.181 4.853 4.795
Li 6.370 1.326 4.795
Fe -1.827 3.802 2.115
Fe 1.378 3.025 2.115
Fe 1.930 2.706 6.911
Fe 0.449 6.189 2.115
Fe 4.206 0.319 6.911
Fe 5.135 3.483 6.911
P 0.000 0.000 2.393
P 0.000 0.000 7.188
P 0.000 4.339 4.956
P 0.000 4.339 8.868
P 3.757 2.169 0.161
P 3.757 2.169 4.072
O 0.000 0.000 3.938
O 0.000 0.000 8.733
O -2.527 5.718 1.845
O -0.963 3.233 5.441
O 0.069 1.461 1.845
O -1.423 4.692 8.380
O 1.230 0.790 6.640
O 0.405 2.929 8.380
O 0.000 4.339 0.866
O 0.000 4.339 3.365
O -0.476 5.725 5.441
O 2.334 1.816 3.585
O 3.281 0.783 0.646
O 1.439 4.058 5.441
O 1.018 5.394 8.380
O 2.795 3.275 0.646
O 3.757 2.169 5.661
O 3.757 2.169 8.160
O 4.775 1.113 3.585
O 2.458 5.838 1.845
O 4.163 3.579 3.585
O 6.215 0.670 6.640
O 5.196 2.450 0.646
O 3.827 5.047 6.640
```

[4]
Computed XRD peak list
Compound: LiFePO4
Radiation: copper Kα
Structure: DFT lattice parameters and positions (GGA+U)

The 6 most intense peaks (2θ from 5° to 70°), in order of rising 2θ:
d (Å), I_rel, hkl
5.878, 49.9, 0 1 1
3.691, 49.1, 1 1 0
3.665, 62.2, 0 2 1
3.084, 46.5, 1 2 -1
2.953, 69.7, 1 1 1
2.900, 100.0, 1 2 0

Cell and atoms:
```
28
Lattice="4.743 0.000 0.000 0.000 8.119 0.000 -4.735 0.000 8.521" Properties=species:S:1:pos:R:3 pbc="T T T"
Li 0.000 1.152 0.000
Li -2.368 6.967 4.261
Li -2.363 2.910 8.515
Li 0.004 5.209 4.254
Fe -0.470 1.494 5.556
Fe 1.898 6.625 1.295
Fe 1.903 2.564 2.968
Fe -0.465 5.555 7.228
P -0.059 3.968 1.472
P -2.427 4.151 5.733
P -2.423 0.089 7.045
P -0.055 8.030 2.784
O -2.139 2.797 4.952
O 0.229 5.322 0.691
O 0.619 2.803 0.730
O -1.749 5.316 4.991
O 0.581 0.051 1.384
O -1.786 8.068 5.645
O -1.788 4.017 7.132
O 0.579 4.102 2.872
O 0.235 1.260 3.572
O -2.133 6.859 7.833
O -1.742 1.261 7.775
O 0.625 6.858 3.514
O 3.157 3.707 1.626
O 0.789 4.412 5.887
O 0.793 0.348 6.893
O 3.160 7.771 2.632
```

[5]
Computed XRD peak list
Compound: LiFeP2O7
Radiation: copper Kα
Structure: DFT lattice parameters and positions (GGA+U)

The 6 most intense peaks (2θ from 5° to 70°), in order of rising 2θ:
d (Å), I_rel, hkl
6.405, 97.3, 0 1 0
5.495, 100.0, 0 1 -1
4.862, 62.2, 1 0 -1
3.525, 73.7, 0 0 2
3.246, 62.9, 0 2 -1
2.892, 74.1, -2 1 1

Cell and atoms:
```
22
Lattice="5.952 0.000 0.000 -2.972 6.627 0.000 -1.266 -1.873 7.051" Properties=species:S:1:pos:R:3 pbc="T T T"
Li -0.124 0.840 1.076
Li 1.838 3.915 5.975
Fe 1.350 -0.755 4.851
Fe 0.364 5.509 2.200
P -1.542 0.188 5.059
P -1.119 2.992 6.008
P 2.833 1.762 1.042
P 3.256 4.567 1.992
O -1.468 -0.722 6.244
O -1.917 1.693 5.433
O -0.228 0.209 4.247
O -2.110 4.129 5.585
O -1.478 4.980 2.916
O 0.112 4.668 0.489
O 1.490 1.621 1.669
O 0.224 3.133 5.381
O 1.602 0.087 6.561
O 3.192 -0.225 4.134
O 3.824 0.626 1.465
O 1.942 4.545 2.804
O 3.631 3.062 1.618
O 3.182 5.477 0.806
```

[6]
Computed XRD peak list
Compound: Li2FeP2O7
Radiation: copper Kα
Structure: DFT lattice parameters and positions (GGA+U)

The 6 most intense peaks (2θ from 5° to 70°), in order of rising 2θ:
d (Å), I_rel, hkl
5.234, 100.0, 0 2 1
3.998, 60.7, 0 0 2
3.704, 30.8, 1 2 0
2.914, 26.6, 1 2 1
2.821, 28.3, 1 2 -3
2.617, 26.0, 0 1 3

Cell and atoms:
```
48
Lattice="5.112 0.000 0.000 0.000 13.842 0.000 -4.790 0.000 7.999" Properties=species:S:1:pos:R:3 pbc="T T T"
Li -1.538 1.289 2.895
Li -3.933 5.633 6.894
Li 1.333 2.647 1.328
Li -1.061 4.274 5.328
Li 1.383 9.568 2.671
Li -1.011 11.195 6.671
Li 4.255 8.210 1.104
Li 1.860 12.554 5.104
Fe -3.425 2.247 5.849
Fe -1.030 4.674 1.850
Fe 1.352 9.168 6.149
Fe 3.747 11.595 2.149
P -1.132 9.367 4.295
P 1.263 11.396 0.296
P -1.263 7.313 6.221
P 1.132 13.450 2.221
P -0.810 0.392 5.778
P 1.585 6.529 1.778
P -0.941 2.446 7.703
P 1.454 4.475 3.704
O -1.686 9.562 2.870
O -4.081 11.201 6.870
O -2.770 7.396 6.568
O -0.375 13.367 2.568
O -1.990 10.084 5.343
O 0.405 10.679 1.343
O -1.656 1.399 4.963
O 0.739 5.523 0.964
O -1.196 7.789 4.635
O 1.199 12.975 0.635
O 1.008 7.924 1.764
O -1.386 12.840 5.763
O -2.431 2.831 7.619
O -0.036 4.090 3.620
O 0.358 9.752 4.379
O 2.753 11.011 0.380
O 1.708 1.003 2.236
O -0.686 5.919 6.235
O -0.877 0.868 7.364
O 1.518 6.053 3.364
O -0.417 8.320 7.035
O 1.978 12.444 3.036
O -0.083 3.163 6.656
O 2.312 3.758 2.656
O 0.697 0.475 5.431
O 3.092 6.446 1.431
O 4.403 2.641 1.129
O 2.008 4.280 5.129
```